(1)
Structure and theoretical PXRD pattern of Na2AlFeSi4O12 (a structure optimized by DFT (GGA+U); CuKα).
Intensities are scaled so that the largest is 100.

Atomic structure:
Lattice parameters (Å, degrees): 9.669 8.785 5.335 90.00 107.82 90.00
Space group C2 (No. 5)
Inequivalent atoms, fractional coordinates:
1 Na 0.000 0.000 0.000 (multiplicity 2)
2 Na 0.000 0.403 0.500 (multiplicity 2)
3 Al 0.000 0.602 0.000 (multiplicity 2)
4 Fe 0.000 0.799 0.500 (multiplicity 2)
5 Si 0.208 0.294 0.016 (multiplicity 4)
6 Si 0.211 0.112 0.521 (multiplicity 4)
7 O 0.110 0.621 0.369 (multiplicity 4)
8 O 0.113 0.775 0.895 (multiplicity 4)
9 O 0.136 0.460 0.952 (multiplicity 4)
10 O 0.143 0.944 0.451 (multiplicity 4)
11 O 0.145 0.195 0.738 (multiplicity 4)
12 O 0.150 0.209 0.242 (multiplicity 4)

Most intense lines, 10° ≤ 2θ ≤ 80°, by angle:
- 2θ 13.93, I 23
- 2θ 29.85, I 100
- 2θ 30.85, I 59
- 2θ 35.23, I 22
- 2θ 35.34, I 38
- 2θ 36.38, I 35
- 2θ 40.99, I 24
- 2θ 42.64, I 21

---

(2)
Structure and theoretical PXRD pattern of AlFeO3 (a structure optimized by DFT (GGA+U); CuKα).
Intensities are scaled so that the largest is 100.

Atomic structure:
Lattice parameters (Å, degrees): 4.9636 4.9636 13.5776 90.00 90.00 120.00
Space group R-3 (No. 148, hexagonal axes)
Inequivalent atoms, fractional coordinates:
1 Al 0.0000 0.0000 0.1516 (multiplicity 6)
2 Fe 0.0000 0.0000 0.3577 (multiplicity 6)
3 O 0.0146 0.7023 0.7541 (multiplicity 18)

Most intense lines, 10° ≤ 2θ ≤ 80°, by angle:
- 2θ 24.51, I 36
- 2θ 33.64, I 100
- 2θ 36.19, I 65
- 2θ 41.50, I 54
- 2θ 50.24, I 42
- 2θ 54.91, I 59
- 2θ 63.48, I 36
- 2θ 65.10, I 40

---

(3)
Structure and theoretical PXRD pattern of Al4Fe3O12 (a structure optimized by DFT (GGA+U); CuKα).
Intensities are scaled so that the largest is 100.

Atomic structure:
Lattice parameters (Å, degrees): 9.997 5.771 14.188 90.00 90.25 90.00
Space group C2/m (No. 12)
Inequivalent atoms, fractional coordinates:
1 Al 0.000 0.000 0.000 (multiplicity 2)
2 Al 0.000 0.500 0.500 (multiplicity 2)
3 Al 0.083 0.245 0.669 (multiplicity 8)
4 Al 0.250 0.250 0.000 (multiplicity 4)
5 Fe 0.002 0.500 0.125 (multiplicity 4)
6 Fe 0.165 0.000 0.459 (multiplicity 4)
7 Fe 0.166 0.000 0.212 (multiplicity 4)
8 O 0.007 0.000 0.738 (multiplicity 4)
9 O 0.016 0.500 0.742 (multiplicity 4)
10 O 0.063 0.261 0.420 (multiplicity 8)
11 O 0.086 0.240 0.931 (multiplicity 8)
12 O 0.152 0.500 0.585 (multiplicity 4)
13 O 0.155 0.000 0.593 (multiplicity 4)
14 O 0.166 0.000 0.073 (multiplicity 4)
15 O 0.175 0.500 0.070 (multiplicity 4)
16 O 0.238 0.263 0.744 (multiplicity 8)

Most intense lines, 10° ≤ 2θ ≤ 80°, by angle:
- 2θ 18.83, I 41
- 2θ 30.85, I 31
- 2θ 30.97, I 80
- 2θ 36.39, I 33
- 2θ 36.50, I 100
- 2θ 55.13, I 24
- 2θ 58.64, I 17
- 2θ 64.54, I 45

---

(4)
Structure and theoretical PXRD pattern of AlFeO3 (a structure optimized by DFT (GGA+U); CuKα).
Intensities are scaled so that the largest is 100.

Atomic structure:
Lattice parameters (Å, degrees): 4.982 5.002 7.943 88.96 89.69 89.77
Space group P1 (No. 1)
Inequivalent atoms, fractional coordinates:
1 Al 0.000 0.000 0.000 (multiplicity 1)
2 Al 0.029 0.016 0.487 (multiplicity 1)
3 Al 0.497 0.514 0.497 (multiplicity 1)
4 Al 0.533 0.502 0.990 (multiplicity 1)
5 Fe 0.015 0.508 0.243 (multiplicity 1)
6 Fe 0.015 0.508 0.743 (multiplicity 1)
7 Fe 0.514 0.008 0.243 (multiplicity 1)
8 Fe 0.515 0.007 0.743 (multiplicity 1)
9 O 0.157 0.365 0.497 (multiplicity 1)
10 O 0.171 0.175 0.164 (multiplicity 1)
11 O 0.178 0.170 0.829 (multiplicity 1)
12 O 0.357 0.676 0.153 (multiplicity 1)
13 O 0.361 0.675 0.817 (multiplicity 1)
14 O 0.365 0.861 0.483 (multiplicity 1)
15 O 0.664 0.155 0.003 (multiplicity 1)
16 O 0.669 0.340 0.669 (multiplicity 1)
17 O 0.672 0.342 0.333 (multiplicity 1)
18 O 0.851 0.844 0.657 (multiplicity 1)
19 O 0.859 0.842 0.322 (multiplicity 1)
20 O 0.873 0.651 0.989 (multiplicity 1)

Most intense lines, 10° ≤ 2θ ≤ 80°, by angle:
- 2θ 22.39, I 28
- 2θ 33.66, I 55
- 2θ 33.87, I 49
- 2θ 34.20, I 100
- 2θ 35.92, I 33
- 2θ 36.05, I 35
- 2θ 45.69, I 28
- 2θ 63.72, I 39

---

(5)
Structure and theoretical PXRD pattern of AlFe3O6 (a structure optimized by DFT (GGA+U); CuKα).
Intensities are scaled so that the largest is 100.

Atomic structure:
Lattice parameters (Å, degrees): 5.9511 5.9511 14.6256 90.00 90.00 120.00
Space group P-3m1 (No. 164)
Inequivalent atoms, fractional coordinates:
1 Al 0.0000 0.0000 0.1296 (multiplicity 2)
2 Al 0.3333 0.6667 0.4533 (multiplicity 2)
3 Fe 0.0000 0.0000 0.5000 (multiplicity 1)
4 Fe 0.0000 0.5000 0.0000 (multiplicity 3)
5 Fe 0.1695 0.3391 0.6685 (multiplicity 6)
6 Fe 0.3333 0.6667 0.8275 (multiplicity 2)
7 O 0.0000 0.0000 0.2556 (multiplicity 2)
8 O 0.0333 0.5166 0.7403 (multiplicity 6)
9 O 0.1619 0.3237 0.4177 (multiplicity 6)
10 O 0.1677 0.3353 0.9134 (multiplicity 6)
11 O 0.3333 0.6667 0.0600 (multiplicity 2)
12 O 0.3333 0.6667 0.5773 (multiplicity 2)

Most intense lines, 10° ≤ 2θ ≤ 80°, by angle:
- 2θ 18.24, I 98
- 2θ 35.33, I 100
- 2θ 36.99, I 13
- 2θ 42.94, I 74
- 2θ 56.71, I 9
- 2θ 56.80, I 26
- 2θ 62.27, I 29
- 2θ 62.42, I 31

---

(6)
Structure and theoretical PXRD pattern of Al4Fe3O12 (a structure optimized by DFT (GGA+U); CuKα).
Intensities are scaled so that the largest is 100.

Atomic structure:
Lattice parameters (Å, degrees): 5.779 5.784 14.226 89.93 89.82 60.05
Space group P1 (No. 1)
Inequivalent atoms, fractional coordinates:
1 Al 0.000 0.000 0.000 (multiplicity 1)
2 Al 0.000 0.495 0.001 (multiplicity 1)
3 Al 0.168 0.161 0.328 (multiplicity 1)
4 Al 0.333 0.332 0.661 (multiplicity 1)
5 Al 0.335 0.829 0.660 (multiplicity 1)
6 Al 0.503 0.496 0.000 (multiplicity 1)
7 Al 0.512 0.988 0.495 (multiplicity 1)
8 Al 0.675 0.160 0.327 (multiplicity 1)
9 Fe 0.163 0.666 0.834 (multiplicity 1)
10 Fe 0.168 0.667 0.211 (multiplicity 1)
11 Fe 0.171 0.667 0.453 (multiplicity 1)
12 Fe 0.501 0.997 0.117 (multiplicity 1)
13 Fe 0.826 0.333 0.534 (multiplicity 1)
14 Fe 0.841 0.327 0.791 (multiplicity 1)
15 O 0.034 0.467 0.252 (multiplicity 1)
16 O 0.047 0.477 0.748 (multiplicity 1)
17 O 0.048 0.971 0.748 (multiplicity 1)
18 O 0.159 0.167 0.062 (multiplicity 1)
19 O 0.165 0.667 0.074 (multiplicity 1)
20 O 0.187 0.155 0.581 (multiplicity 1)
21 O 0.199 0.648 0.587 (multiplicity 1)
22 O 0.310 0.380 0.921 (multiplicity 1)
23 O 0.310 0.805 0.921 (multiplicity 1)
24 O 0.324 0.874 0.415 (multiplicity 1)
25 O 0.352 0.297 0.409 (multiplicity 1)
26 O 0.480 0.508 0.739 (multiplicity 1)
27 O 0.483 0.006 0.726 (multiplicity 1)
28 O 0.486 0.033 0.252 (multiplicity 1)
29 O 0.501 0.468 0.252 (multiplicity 1)
30 O 0.625 0.176 0.576 (multiplicity 1)
31 O 0.630 0.691 0.575 (multiplicity 1)
32 O 0.672 0.168 0.062 (multiplicity 1)
33 O 0.672 0.654 0.063 (multiplicity 1)
34 O 0.810 0.870 0.417 (multiplicity 1)
35 O 0.833 0.331 0.925 (multiplicity 1)
36 O 0.846 0.310 0.401 (multiplicity 1)
37 O 0.880 0.807 0.921 (multiplicity 1)
38 O 0.997 0.010 0.259 (multiplicity 1)

Most intense lines, 10° ≤ 2θ ≤ 80°, by angle:
- 2θ 18.78, I 42
- 2θ 21.69, I 41
- 2θ 30.83, I 51
- 2θ 30.92, I 63
- 2θ 36.33, I 81
- 2θ 36.42, I 100
- 2θ 58.54, I 32
- 2θ 64.43, I 31

---

(7)
Structure and theoretical PXRD pattern of AlFe2O4 (a structure optimized by DFT (GGA+U); CuKα).
Intensities are scaled so that the largest is 100.

Atomic structure:
Lattice parameters (Å, degrees): 5.8881 5.8881 14.7240 90.00 90.00 120.00
Space group R-3m (No. 166, hexagonal axes)
Inequivalent atoms, fractional coordinates:
1 Al 0.0000 0.0000 0.1274 (multiplicity 6)
2 Fe 0.0000 0.0000 0.5000 (multiplicity 3)
3 Fe 0.0000 0.5000 0.0000 (multiplicity 9)
4 O 0.0000 0.0000 0.2490 (multiplicity 6)
5 O 0.0018 0.5009 0.2476 (multiplicity 18)

Most intense lines, 10° ≤ 2θ ≤ 80°, by angle:
- 2θ 18.41, I 66
- 2θ 35.19, I 46
- 2θ 35.56, I 92
- 2θ 35.74, I 46
- 2θ 43.16, I 100
- 2θ 57.37, I 21
- 2θ 62.21, I 52
- 2θ 63.16, I 50